Ba6Tl2NO: simulated powder X-ray diffraction pattern (Cu Ka), based on a crystal structure in Alexandria, relaxed with GGA-PBE.

Structural model:
```
data_Ba6Tl2NO
_space_group_name_H-M_alt 'I 4/m m m'
_space_group_IT_number 139
_space_group_name_Hall '-I 4 2'
_cell_length_a 7.927
_cell_length_b 7.927
_cell_length_c 11.200
_cell_angle_alpha 90.00
_cell_angle_beta 90.00
_cell_angle_gamma 90.00
loop_
_atom_site_label
_atom_site_fract_x
_atom_site_fract_y
_atom_site_fract_z
Ba1 0.000 0.000 0.248
Ba2 0.248 0.248 0.000
Tl1 0.000 0.500 0.250
N1 0.000 0.000 0.000
O1 0.000 0.000 0.500
```

Main lines, by angle (15 to 90 degrees two-theta):
- 27.6°, rel. 100, (2 0 2)
- 31.9°, rel. 57, (2 2 0)
- 45.8°, rel. 42, (4 0 0)
- 54.3°, rel. 46, (4 2 2)
- 56.9°, rel. 14, (4 0 4)
- 73.7°, rel. 19, (6 0 2)
- 75.9°, rel. 19, (6 2 0)
- 84.8°, rel. 14, (6 2 4)